Record 1
Diffraction record for Zr3S4. The X-ray diffraction stick pattern is calculated, not measured: it uses the PBE geometry in the Materials Project and Cu Kα, 1.54184 Å.
No peak broadening, texture or thermal motion is included.

Cell and atoms:
a = 7.317 Å, b = 7.352 Å, c = 24.325 Å
α = 98.38°, β = 90.23°, γ = 119.70°
Fractional positions:
Zr 0.000 0.000 0.000
Zr 0.000 0.000 0.500
Zr 0.000 0.500 0.000
Zr 0.000 0.500 0.500
Zr 0.091 0.231 0.374
Zr 0.117 0.257 0.873
Zr 0.118 0.726 0.877
Zr 0.213 0.985 0.248
Zr 0.239 0.010 0.745
Zr 0.243 0.470 0.751
Zr 0.347 0.738 0.123
Zr 0.374 0.234 0.627
Zr 0.381 0.744 0.622
Zr 0.500 0.500 0.000
Zr 0.500 0.500 0.500
Zr 0.619 0.256 0.378
Zr 0.626 0.766 0.373
Zr 0.653 0.262 0.877
Zr 0.757 0.530 0.249
Zr 0.761 0.990 0.255
Zr 0.787 0.015 0.752
Zr 0.882 0.274 0.123
Zr 0.883 0.743 0.127
Zr 0.909 0.769 0.626
S 0.052 0.137 0.681
S 0.056 0.128 0.185
S 0.071 0.617 0.192
S 0.075 0.626 0.688
S 0.180 0.368 0.565
S 0.192 0.883 0.061
S 0.195 0.368 0.064
S 0.213 0.882 0.557
S 0.304 0.618 0.435
S 0.307 0.122 0.437
S 0.318 0.120 0.937
S 0.323 0.630 0.938
S 0.425 0.376 0.311
S 0.432 0.883 0.312
S 0.440 0.875 0.811
S 0.446 0.373 0.814
S 0.554 0.627 0.186
S 0.560 0.125 0.189
S 0.568 0.117 0.688
S 0.575 0.624 0.689
S 0.677 0.370 0.062
S 0.682 0.880 0.063
S 0.693 0.878 0.563
S 0.696 0.382 0.565
S 0.787 0.118 0.443
S 0.805 0.632 0.936
S 0.808 0.117 0.939
S 0.820 0.632 0.435
S 0.925 0.374 0.312
S 0.929 0.383 0.808
S 0.944 0.872 0.815
S 0.948 0.863 0.319

Main lines, by intensity (2θ from 10° to 80°):
2θ/deg, d/Å, intensity
34.4, 2.609, 100
34.6, 2.595, 97
34.7, 2.584, 93
29.8, 2.998, 71
49.6, 1.838, 65
14.8, 6.002, 63
49.7, 1.834, 63
61.9, 1.498, 46
49.5, 1.842, 31
49.9, 1.829, 30

Record 2
Diffraction record for Zr3S4. The X-ray diffraction stick pattern is calculated, not measured: it uses the PBE geometry in the Materials Project and Cu Kα, 1.54184 Å.
No peak broadening, texture or thermal motion is included.

Cell and atoms:
a = 30.651 Å, b = 30.651 Å, c = 6.370 Å
α = 90.60°, β = 90.60°, γ = 6.67°
Fractional positions:
Zr 0.000 0.000 0.000
Zr 0.050 0.050 0.647
Zr 0.099 0.099 0.297
Zr 0.150 0.150 0.935
Zr 0.200 0.200 0.592
Zr 0.251 0.251 0.282
Zr 0.350 0.350 0.539
Zr 0.450 0.450 0.847
Zr 0.550 0.550 0.153
Zr 0.650 0.650 0.461
Zr 0.749 0.749 0.718
Zr 0.800 0.800 0.408
Zr 0.850 0.850 0.065
Zr 0.901 0.901 0.703
Zr 0.950 0.950 0.353
S 0.024 0.024 0.327
S 0.075 0.075 0.969
S 0.124 0.124 0.623
S 0.175 0.175 0.269
S 0.226 0.226 0.915
S 0.278 0.278 0.609
S 0.323 0.323 0.206
S 0.376 0.376 0.889
S 0.423 0.423 0.505
S 0.476 0.476 0.190
S 0.524 0.524 0.810
S 0.577 0.577 0.495
S 0.624 0.624 0.111
S 0.677 0.677 0.794
S 0.722 0.722 0.391
S 0.774 0.774 0.085
S 0.825 0.825 0.731
S 0.876 0.876 0.377
S 0.925 0.925 0.031
S 0.976 0.976 0.673

Main lines, by intensity (2θ from 10° to 80°):
2θ/deg, d/Å, intensity
34.5, 2.603, 100
35.0, 2.561, 46
49.9, 1.828, 32
50.0, 1.823, 30
47.8, 1.902, 19
14.5, 6.119, 19
30.5, 2.928, 17
51.2, 1.784, 15
63.6, 1.464, 15
14.2, 6.244, 11

Record 3
Diffraction record for ZrS. The X-ray diffraction stick pattern is calculated, not measured: it uses the PBE geometry in the Materials Project and Cu Kα, 1.54184 Å.
No peak broadening, texture or thermal motion is included.

Cell and atoms:
a = 3.584 Å, b = 3.584 Å, c = 5.655 Å
α = 90.00°, β = 90.00°, γ = 90.00°
Fractional positions:
Zr 0.250 0.250 0.182
Zr 0.750 0.750 0.818
S 0.250 0.250 0.691
S 0.750 0.750 0.309

Main lines, by intensity (2θ from 10° to 80°):
2θ/deg, d/Å, intensity
35.4, 2.534, 100
40.6, 2.220, 72
29.5, 3.027, 59
48.2, 1.887, 41
51.0, 1.792, 34
31.6, 2.828, 32
67.1, 1.394, 31
61.3, 1.513, 27
71.8, 1.315, 23
60.0, 1.542, 16